1.
# TbPrDy2Te6
Simulated XRD peak list, Cu Kα, 1.54184 Å. Input: a cell relaxed with PBE.

Structure:
abc: 7.7914 7.7914 21.1967
angles: 90.00 90.00 120.00
Space group R3 (No. 146, hexagonal axes)
Symmetry-distinct sites (fractional):
Tb: 0.0000 0.0000 0.0000 x3
Pr: 0.0000 0.0000 0.5033 x3
Dy: 0.0000 0.0000 0.3143 x3
Dy: 0.0000 0.0000 0.8120 x3
Te: 0.0055 0.3182 0.4041 x9
Te: 0.0176 0.6485 0.5720 x9

Main lines, most intense first (10 to 90 degrees two-theta):
2theta  intensity  index
34.27  100  2 -1 6
26.12  93  2 -1 3
40.09  64  3 0 0
15.57  35  0 1 2
21.32  28  1 0 4
53.74  26  2 2 6
69.11  23  5 -1 6
31.43  23  0 2 4
44.98  21  1 1 9
67.41  20  3 0 12

2.
# TbPr5Dy2Th
Simulated XRD peak list, Cu Kα, 1.54184 Å. Input: a cell relaxed with PBE.

Structure:
abc: 5.457 21.866 10.658
angles: 90.00 90.00 90.00
Space group Cmcm (No. 63)
Symmetry-distinct sites (fractional):
Tb: 0.000 0.102 0.250 x4
Pr: 0.000 0.000 0.000 x4
Pr: 0.000 0.126 0.750 x4
Pr: 0.000 0.222 0.057 x8
Pr: 0.000 0.497 0.250 x4
Dy: 0.000 0.387 0.506 x8
Th: 0.000 0.287 0.750 x4

Main lines, most intense first (10 to 90 degrees two-theta):
2theta  intensity  index
31.12  100  1 5 2
32.81  38  2 0 0
47.70  19  2 0 4
33.63  19  0 0 4
57.54  18  3 5 2
30.30  15  1 1 3
32.48  14  1 3 3
26.38  14  1 3 2
60.13  10  1 13 2
58.58  10  1 5 6

3.
# TbPr2Dy4Tm2
Simulated XRD peak list, Cu Kα, 1.54184 Å. Input: a cell relaxed with PBE.

Structure:
abc: 6.006 6.607 8.576
angles: 80.02 70.62 65.50
Space group P-1 (No. 2)
Symmetry-distinct sites (fractional):
Tb: 0.000 0.000 0.000 x1
Pr: 0.270 0.675 0.658 x2
Dy: 0.259 0.425 0.115 x2
Dy: 0.383 0.874 0.238 x2
Tm: 0.177 0.231 0.555 x2

Main lines, most intense first (10 to 90 degrees two-theta):
2theta  intensity  index
32.42  100  1 1 3
31.34  62  0 2 1
31.76  54  1 -1 2
31.66  54  1 0 -2
29.79  45  2 1 1
58.53  20  0 1 5
56.91  19  1 3 4
48.10  18  0 1 -4
42.69  17  2 -1 0
44.85  14  2 3 2

4.
# TbPrDy2Tm2
Simulated XRD peak list, Cu Kα, 1.54184 Å. Input: a cell relaxed with PBE.

Structure:
abc: 6.583 17.628 3.384
angles: 90.00 90.00 90.00
Space group Pnnm (No. 58)
Symmetry-distinct sites (fractional):
Tb: 0.000 0.000 0.000 x2
Pr: 0.000 0.500 0.000 x2
Dy: 0.224 0.151 0.500 x4
Tm: 0.227 0.318 0.000 x4

Main lines, most intense first (10 to 90 degrees two-theta):
2theta  intensity  index
30.46  100  0 6 0
28.96  55  2 2 0
41.23  42  2 3 1
33.99  33  2 4 0
33.42  21  1 6 0
31.41  19  1 2 1
36.14  19  1 4 1
89.56  18  4 6 2
26.83  17  0 1 1
64.96  17  4 6 0

5.
# TbPr2Dy6Y
Simulated XRD peak list, Cu Kα, 1.54184 Å. Input: a cell relaxed with PBE.

Structure:
abc: 9.035 15.151 9.743
angles: 90.00 98.97 90.00
Space group C2/c (No. 15)
Symmetry-distinct sites (fractional):
Tb: 0.000 0.093 0.250 x4
Pr: 0.245 0.447 0.042 x8
Dy: 0.065 0.309 0.443 x8
Dy: 0.104 0.105 0.619 x8
Dy: 0.200 0.277 0.812 x8
Y: 0.000 0.483 0.750 x4

Main lines, most intense first (10 to 90 degrees two-theta):
2theta  intensity  index
30.61  100  3 1 -1
33.30  100  1 3 -3
31.68  94  2 2 2
31.17  74  1 5 0
30.26  66  0 2 3
31.43  53  2 4 -1
28.54  48  1 3 2
32.10  22  1 5 -1
50.40  22  1 1 5
60.46  22  2 4 5

6.
# PrDy4Te5
Simulated XRD peak list, Cu Kα, 1.54184 Å. Input: a cell relaxed with PBE.

Structure:
abc: 4.367 4.367 31.421
angles: 90.00 90.00 90.00
Space group I4/mmm (No. 139)
Symmetry-distinct sites (fractional):
Pr: 0.000 0.000 0.000 x2
Dy: 0.000 0.000 0.208 x4
Dy: 0.000 0.000 0.405 x4
Te: 0.000 0.000 0.105 x4
Te: 0.000 0.000 0.305 x4
Te: 0.000 0.000 0.500 x2

Main lines, most intense first (10 to 90 degrees two-theta):
2theta  intensity  index
28.92  100  1 1 0
40.98  69  1 1 10
28.41  46  0 0 10
41.35  38  2 0 0
50.93  37  2 0 10
75.15  23  3 1 10
67.87  17  3 1 0
67.61  16  2 2 10
59.91  13  2 2 0
66.81  11  1 1 20